# 1
Diffraction record for KIn4Hg2. The powder diffractogram is simulated, not measured: it uses a structure optimized by DFT (PBE) and copper Kα.

Largest 12 diffraction maxima, low angle first, 2θ from 10° to 90°:
d [Å]	I (rel.)	h k l
4.751	32	0 0 1
4.505	44	1 1 0
3.269	19	1 1 1
2.934	84	1 3 1
2.922	20	1 5 0
2.616	24	0 6 1
2.489	100	1 5 1
2.376	37	0 0 2
2.350	22	0 8 0
2.321	48	2 0 0
1.660	33	2 0 2
1.326	20	1 13 1

Cell and atoms:
Unit cell a=4.6398 b=18.8032 c=4.7512 alpha=90.00 beta=90.00 gamma=90.00
Space group Cmmm (No. 65)
One atom of each set of equivalent atoms:
K (0.0000, 0.0000, 0.0000) [2 per cell]
In (0.0000, 0.1885, 0.5000) [4 per cell]
In (0.0000, 0.3143, 0.0000) [4 per cell]
Hg (0.0000, 0.4216, 0.5000) [4 per cell]

***

# 2
Diffraction record for KIn6Hg2. The powder diffractogram is simulated, not measured: it uses a structure optimized by DFT (PBE) and copper Kα.

Largest 12 diffraction maxima, low angle first, 2θ from 10° to 90°:
d [Å]	I (rel.)	h k l
4.637	33	1 0 0
4.333	27	1 0 1
3.052	18	1 0 3
2.886	78	1 1 2
2.548	100	1 1 3
2.433	24	0 0 5
2.318	59	2 0 0
1.678	31	2 0 5
1.639	20	2 2 0
1.425	17	3 1 2
1.379	42	1 1 8
1.360	15	2 2 5

Cell and atoms:
Unit cell a=4.6367 b=4.6367 c=12.1644 alpha=90.00 beta=90.00 gamma=90.00
Space group P4/mmm (No. 123)
One atom of each set of equivalent atoms:
K (0.0000, 0.0000, 0.0000) [1 per cell]
In (0.0000, 0.0000, 0.5000) [1 per cell]
In (0.0000, 0.5000, 0.2952) [4 per cell]
In (0.5000, 0.5000, 0.5000) [1 per cell]
Hg (0.5000, 0.5000, 0.1216) [2 per cell]

***

# 3
Diffraction record for K2In5Hg5. The powder diffractogram is simulated, not measured: it uses a structure optimized by DFT (PBE) and copper Kα.

Largest 12 diffraction maxima, low angle first, 2θ from 10° to 90°:
d [Å]	I (rel.)	h k l
5.516	71	0 1 1
3.185	22	0 2 0
2.707	100	1 1 3
2.569	31	2 0 0
2.430	69	1 2 2
2.329	17	2 1 1
1.731	26	1 3 3
1.592	20	0 4 0
1.508	17	3 1 3
1.455	14	3 2 2
1.354	24	2 4 0
1.172	14	1 5 3

Cell and atoms:
Unit cell a=5.1381 b=6.3678 c=11.0368 alpha=90.00 beta=90.00 gamma=90.00
Space group Pmmm (No. 47)
One atom of each set of equivalent atoms:
K (0.0000, 0.0000, 0.0000) [1 per cell]
K (0.0000, 0.5000, 0.5000) [1 per cell]
In (0.5000, 0.0000, 0.5000) [1 per cell]
In (0.5000, 0.2473, 0.2441) [4 per cell]
Hg (0.0000, 0.0000, 0.3346) [2 per cell]
Hg (0.0000, 0.5000, 0.1799) [2 per cell]
Hg (0.5000, 0.5000, 0.0000) [1 per cell]

***

# 4
Diffraction record for K3In4Hg4. The powder diffractogram is simulated, not measured: it uses a structure optimized by DFT (PBE) and copper Kα.

Largest 12 diffraction maxima, low angle first, 2θ from 10° to 90°:
d [Å]	I (rel.)	h k l
6.485	71	1 1 0
4.585	44	2 0 0
3.744	32	2 1 1
3.242	53	2 2 0
2.900	74	3 1 0
2.451	73	3 2 1
2.162	100	3 3 0
1.955	23	3 3 2
1.798	19	4 3 1
1.488	43	6 1 1
1.383	19	6 2 2
1.248	28	7 2 1

Cell and atoms:
Unit cell a=9.1705 b=9.1705 c=9.1705 alpha=90.00 beta=90.00 gamma=90.00
Space group I-43m (No. 217)
One atom of each set of equivalent atoms:
K (0.0000, 0.0000, 0.5000) [6 per cell]
In (0.1277, 0.1277, 0.1277) [8 per cell]
Hg (0.1912, 0.1912, 0.8088) [8 per cell]

***

# 5
Diffraction record for KIn5Hg7. The powder diffractogram is simulated, not measured: it uses a structure optimized by DFT (PBE) and copper Kα.

Largest 12 diffraction maxima, low angle first, 2θ from 10° to 90°:
d [Å]	I (rel.)	h k l
7.628	25	0 1 1
5.451	28	1 0 1
3.159	35	2 0 0
3.135	44	1 3 0
2.725	58	2 0 2
2.708	100	1 3 2
2.700	31	1 2 3
2.685	38	0 0 4
2.433	92	2 2 2
2.418	33	0 4 2
2.408	64	0 2 4
1.723	30	3 3 2

Cell and atoms:
Unit cell a=6.3181 b=10.8346 c=10.7406 alpha=90.00 beta=90.00 gamma=90.00
Space group Imm2 (No. 44)
One atom of each set of equivalent atoms:
K (0.0000, 0.0000, 0.0000) [2 per cell]
In (0.0000, 0.5000, 0.2405) [2 per cell]
In (0.2495, 0.2416, 0.2390) [8 per cell]
Hg (0.0000, 0.0000, 0.3784) [2 per cell]
Hg (0.0000, 0.0000, 0.6651) [2 per cell]
Hg (0.0000, 0.3103, 0.4836) [4 per cell]
Hg (0.0000, 0.3442, 0.9872) [4 per cell]
Hg (0.0000, 0.5000, 0.7095) [2 per cell]

***

# 6
Diffraction record for K3In3Hg8. The powder diffractogram is simulated, not measured: it uses a structure optimized by DFT (PBE) and copper Kα.

Largest 12 diffraction maxima, low angle first, 2θ from 10° to 90°:
d [Å]	I (rel.)	h k l
5.132	57	0 2 0
4.731	53	1 1 0
3.091	36	0 2 4
3.002	94	1 2 3
2.879	57	1 3 0
2.699	54	1 3 2
2.665	81	2 0 0
2.581	48	0 0 6
2.310	100	1 3 4
2.287	30	1 4 1
1.854	38	2 0 6
1.598	30	1 4 7

Cell and atoms:
Unit cell a=5.3309 b=10.2642 c=15.4845 alpha=90.00 beta=90.00 gamma=90.00
Space group Immm (No. 71)
One atom of each set of equivalent atoms:
K (0.0000, 0.0000, 0.0000) [2 per cell]
K (0.0000, 0.0000, 0.2855) [4 per cell]
In (0.0000, 0.1765, 0.5000) [4 per cell]
In (0.0000, 0.5000, 0.0000) [2 per cell]
Hg (0.0000, 0.2946, 0.1438) [8 per cell]
Hg (0.0000, 0.3534, 0.3402) [8 per cell]

***

# 7
Diffraction record for KIn4Hg6. The powder diffractogram is simulated, not measured: it uses a structure optimized by DFT (PBE) and copper Kα.

Largest 12 diffraction maxima, low angle first, 2θ from 10° to 90°:
d [Å]	I (rel.)	h k l
7.445	37	1 0 0
2.970	100	2 0 1
2.814	36	2 1 0
2.482	15	3 0 0
2.463	37	0 0 2
2.443	96	2 1 1
2.149	18	2 2 0
1.853	21	2 1 2
1.619	15	2 2 2
1.425	15	5 0 1
1.418	18	2 1 3
1.356	15	4 1 2

Cell and atoms:
Unit cell a=8.5971 b=8.5971 c=4.9261 alpha=90.00 beta=90.00 gamma=120.00
Space group P-6 (No. 174)
One atom of each set of equivalent atoms:
K (0.0000, 0.0000, 0.0000) [1 per cell]
In (0.1748, 0.7602, 0.5000) [3 per cell]
In (0.6667, 0.3333, 0.0000) [1 per cell]
Hg (0.0729, 0.5057, 0.0000) [3 per cell]
Hg (0.3836, 0.1671, 0.5000) [3 per cell]

***

# 8
Diffraction record for K3In2Hg3. The powder diffractogram is simulated, not measured: it uses a structure optimized by DFT (PBE) and copper Kα.

Largest 12 diffraction maxima, low angle first, 2θ from 10° to 90°:
d [Å]	I (rel.)	h k l
8.428	67	0 0 2
4.801	57	1 1 0
4.617	45	1 1 1
4.205	100	0 2 3
3.215	65	1 3 1
3.167	84	1 1 4
2.830	55	1 3 3
2.594	71	2 0 0
2.586	48	1 3 4
2.349	56	1 3 5
2.198	62	1 5 2
2.152	48	1 1 7

Cell and atoms:
Unit cell a=5.1875 b=12.6696 c=16.8564 alpha=90.00 beta=90.00 gamma=90.00
Space group Cmcm (No. 63)
One atom of each set of equivalent atoms:
K (0.0000, 0.0795, 0.1103) [8 per cell]
K (0.0000, 0.3854, 0.2500) [4 per cell]
In (0.0000, 0.2150, 0.5861) [8 per cell]
Hg (0.0000, 0.3122, 0.7500) [4 per cell]
Hg (0.0000, 0.3878, 0.0393) [8 per cell]